This entry pairs a crystal structure of MnFeBO4 with its calculated powder XRD pattern. Radiation: Cu Ka. Structure: the GGA+U geometry in Alexandria.
Intensities are scaled so that the largest is 100.

Structural model:
```
data_MnFeBO4
_chemical_formula_sum 'Mn4 Fe4 B4 O16'
_symmetry_space_group_name_H-M 'P 1 m 1'
_symmetry_Int_Tables_number 6
_cell_length_a 9.474
_cell_length_b 3.191
_cell_length_c 9.644
_cell_angle_alpha 90.00
_cell_angle_beta 90.66
_cell_angle_gamma 90.00
loop_
_symmetry_equiv_pos_as_xyz
'x,y,z'
'x,-y,z'
loop_
_atom_site_label
_atom_site_fract_x
_atom_site_fract_y
_atom_site_fract_z
Mn1 0.000 0.000 0.000
Mn2 0.140 0.000 0.501
Mn3 0.490 0.500 0.303
Mn4 0.639 0.500 0.803
Fe1 0.263 0.500 0.782
Fe2 0.377 0.000 0.015
Fe3 0.755 0.000 0.519
Fe4 0.878 0.500 0.285
B1 0.182 0.500 0.227
B2 0.450 0.000 0.578
B3 0.680 0.000 0.075
B4 0.956 0.500 0.729
O1 0.052 0.500 0.157
O2 0.086 0.500 0.662
O3 0.188 0.500 0.367
O4 0.210 0.000 0.900
O5 0.308 0.500 0.151
O6 0.325 0.000 0.656
O7 0.429 0.500 0.892
O8 0.441 0.000 0.438
O9 0.549 0.000 0.140
O10 0.582 0.000 0.646
O11 0.690 0.000 0.935
O12 0.701 0.500 0.399
O13 0.805 0.000 0.154
O14 0.829 0.500 0.650
O15 0.931 0.000 0.405
O16 0.947 0.500 0.869
```

Top 8 peaks for 10° ≤ 2θ ≤ 90°, by intensity:
2theta  I_rel  index
33.7  100.0  0 1 2
29.7  19.4  3 0 -1
29.9  17.9  3 0 1
20.8  17.4  2 0 -1
57.8  16.1  0 2 0
49.3  16.0  3 1 -3
49.7  15.9  3 1 3
21.0  15.9  2 0 1